Calculated PXRD pattern of K3PrCl6 for CuKα, from a DFT-relaxed cell (PBE, the Materials Project).

```
data_K3PrCl6
_cell_length_a 11.4554
_cell_length_b 11.4554
_cell_length_c 11.4554
_cell_angle_alpha 90.00
_cell_angle_beta 90.00
_cell_angle_gamma 90.00
_space_group_name_H-M_alt 'F m -3 m'
_space_group_IT_number 225
_space_group_name_Hall '-F 4 2 3'
loop_
_atom_site_label
_atom_site_type_symbol
_atom_site_fract_x
_atom_site_fract_y
_atom_site_fract_z
K1 K 0.0000 0.0000 0.0000
K2 K 0.2500 0.2500 0.2500
Pr1 Pr 0.0000 0.0000 0.5000
Cl1 Cl 0.0000 0.0000 0.2605
```

Largest 10 diffraction maxima, sorted by position, 2θ from 15° to 90°:
15.47 deg, 5.728 Å, rel. 75, (2 0 0); 21.95 deg, 4.050 Å, rel. 79, (2 2 0); 25.79 deg, 3.454 Å, rel. 25, (3 1 1); 31.23 deg, 2.864 Å, rel. 100, (4 0 0); 35.03 deg, 2.562 Å, rel. 37, (4 2 0); 38.50 deg, 2.338 Å, rel. 36, (4 2 2); 44.75 deg, 2.025 Å, rel. 66, (4 4 0); 55.58 deg, 1.653 Å, rel. 22, (4 4 4); 74.02 deg, 1.281 Å, rel. 26, (8 4 0); 82.50 deg, 1.169 Å, rel. 19, (8 4 4)

---

Calculated PXRD pattern of LiCdPO4 for CuKα, from a DFT-relaxed cell (PBE, the Materials Project).

```
data_LiCdPO4
_cell_length_a 10.9332
_cell_length_b 6.3752
_cell_length_c 4.8635
_cell_angle_alpha 90.00
_cell_angle_beta 90.00
_cell_angle_gamma 90.00
_space_group_name_H-M_alt 'P n m a'
_space_group_IT_number 62
loop_
_space_group_symop_operation_xyz
'x,y,z'
'-x,-y,-z'
'-x+1/2,-y,z+1/2'
'x+1/2,y,-z+1/2'
'x+1/2,-y+1/2,-z+1/2'
'-x+1/2,y+1/2,z+1/2'
'-x,y+1/2,-z'
'x,-y+1/2,z'
loop_
_atom_site_label
_atom_site_type_symbol
_atom_site_fract_x
_atom_site_fract_y
_atom_site_fract_z
Li1 Li 0.0000 0.0000 0.0000
Cd1 Cd 0.2164 0.2500 0.4580
P1 P 0.0882 0.7500 0.3963
O1 O 0.0436 0.2500 0.7260
O2 O 0.0921 0.7500 0.7122
O3 O 0.1543 0.5547 0.2643
```

Largest 10 diffraction maxima, sorted by position, 2θ from 15° to 90°:
16.21 deg, 5.467 Å, rel. 39, (2 0 0); 19.98 deg, 4.444 Å, rel. 20, (1 0 1); 24.42 deg, 3.645 Å, rel. 100, (1 1 1); 27.99 deg, 3.188 Å, rel. 43, (0 2 0); 30.65 deg, 2.916 Å, rel. 17, (3 0 1); 33.80 deg, 2.652 Å, rel. 63, (3 1 1); 35.74 deg, 2.512 Å, rel. 20, (4 1 0); 47.42 deg, 1.917 Å, rel. 16, (1 3 1); 50.04 deg, 1.823 Å, rel. 21, (2 2 2); 53.34 deg, 1.717 Å, rel. 16, (3 3 1)

---

Calculated PXRD pattern of Er3Mg for CuKα, from a DFT-relaxed cell (PBE, the Materials Project).

```
data_Er3Mg
_cell_length_a 6.9675
_cell_length_b 6.9675
_cell_length_c 5.4838
_cell_angle_alpha 90.00
_cell_angle_beta 90.00
_cell_angle_gamma 120.00
_space_group_name_H-M_alt 'P 63/m m c'
_space_group_IT_number 194
_space_group_name_Hall '-P 6c 2c'
loop_
_atom_site_label
_atom_site_type_symbol
_atom_site_fract_x
_atom_site_fract_y
_atom_site_fract_z
Er1 Er 0.1693 0.3385 0.2500
Mg1 Mg 0.3333 0.6667 0.7500
```

Largest 10 diffraction maxima, sorted by position, 2θ from 15° to 90°:
21.90 deg, 4.058 Å, rel. 23, (1 0 1); 29.61 deg, 3.017 Å, rel. 24, (2 0 0); 32.66 deg, 2.742 Å, rel. 25, (0 0 2); 33.91 deg, 2.643 Å, rel. 100, (2 0 1); 44.66 deg, 2.029 Å, rel. 16, (2 0 2); 52.54 deg, 1.742 Å, rel. 19, (2 2 0); 59.09 deg, 1.563 Å, rel. 20, (2 0 3); 63.25 deg, 1.470 Å, rel. 22, (2 2 2); 64.02 deg, 1.454 Å, rel. 16, (4 0 1); 87.34 deg, 1.116 Å, rel. 14, (4 2 1)